No. 1
Theoretical X-ray diffraction stick pattern of Mg4Sn3 for Cu Kα (weighted mean of Kα1 and Kα2), from a structure optimized by DFT (PBE).
Intensities are scaled so that the largest is 100.

Structural model:
a b c (Å): 3.429 4.292 22.648
angles (deg): 90.00 90.00 90.00
Atoms (fractional coordinates):
Mg  0.000  0.000  0.072
Mg  0.000  0.000  0.213
Mg  0.000  0.000  0.787
Mg  0.000  0.000  0.928
Mg  0.500  0.500  0.287
Mg  0.500  0.500  0.428
Mg  0.500  0.500  0.572
Mg  0.500  0.500  0.713
Sn  0.000  0.000  0.352
Sn  0.000  0.000  0.500
Sn  0.000  0.000  0.648
Sn  0.500  0.500  0.000
Sn  0.500  0.500  0.148
Sn  0.500  0.500  0.852

Principal peaks in the range 5 to 70 degrees two-theta, in order of falling intensity:
- d 2.679, I 100
- d 2.584, I 88
- d 2.353, I 68
- d 4.217, I 61
- d 1.586, I 40
- d 3.390, I 36
- d 3.775, I 34
- d 2.185, I 33
- d 1.428, I 32
- d 2.146, I 27

No. 2
Theoretical X-ray diffraction stick pattern of Mg3Sn for Cu Kα (weighted mean of Kα1 and Kα2), from a structure optimized by DFT (PBE).
Intensities are scaled so that the largest is 100.

Structural model:
a b c (Å): 4.474 4.474 9.150
angles (deg): 90.00 90.00 90.00
Atoms (fractional coordinates):
Mg  0.000  0.000  0.000
Mg  0.000  0.500  0.250
Mg  0.000  0.500  0.750
Mg  0.500  0.000  0.250
Mg  0.500  0.000  0.750
Mg  0.500  0.500  0.500
Sn  0.000  0.000  0.500
Sn  0.500  0.500  0.000

Principal peaks in the range 5 to 70 degrees two-theta, in order of falling intensity:
- d 2.602, I 100
- d 4.019, I 69
- d 1.351, I 33
- d 2.237, I 32
- d 4.575, I 23
- d 1.599, I 23
- d 2.520, I 21
- d 1.955, I 21
- d 3.164, I 19
- d 2.288, I 17

No. 3
Theoretical X-ray diffraction stick pattern of MgSn for Cu Kα (weighted mean of Kα1 and Kα2), from a structure optimized by DFT (PBE).
Intensities are scaled so that the largest is 100.

Structural model:
a b c (Å): 9.683 9.683 4.471
angles (deg): 90.00 90.00 90.00
Atoms (fractional coordinates):
Mg  0.003  0.671  0.000
Mg  0.171  0.497  0.500
Mg  0.329  0.003  0.000
Mg  0.497  0.829  0.500
Mg  0.503  0.171  0.500
Mg  0.671  0.997  0.000
Mg  0.829  0.503  0.500
Mg  0.997  0.329  0.000
Sn  0.160  0.169  0.500
Sn  0.169  0.840  0.500
Sn  0.331  0.660  0.000
Sn  0.340  0.331  0.000
Sn  0.660  0.669  0.000
Sn  0.669  0.340  0.000
Sn  0.831  0.160  0.500
Sn  0.840  0.831  0.500

Principal peaks in the range 5 to 70 degrees two-theta, in order of falling intensity:
- d 2.617, I 100
- d 4.059, I 43
- d 2.282, I 34
- d 4.842, I 28
- d 1.374, I 27
- d 1.597, I 23
- d 3.062, I 22
- d 2.302, I 18
- d 2.235, I 16
- d 1.777, I 14

No. 4
Theoretical X-ray diffraction stick pattern of Mg5Sn for Cu Kα (weighted mean of Kα1 and Kα2), from a structure optimized by DFT (PBE).
Intensities are scaled so that the largest is 100.

Structural model:
a b c (Å): 3.318 3.318 14.948
angles (deg): 90.00 90.00 120.00
Atoms (fractional coordinates):
Mg  0.000  0.000  0.000
Mg  0.000  0.000  0.337
Mg  0.000  0.000  0.663
Mg  0.667  0.333  0.168
Mg  0.667  0.333  0.832
Sn  0.667  0.333  0.500

Principal peaks in the range 5 to 70 degrees two-theta, in order of falling intensity:
- d 14.948, I 100
- d 2.490, I 68
- d 7.474, I 24
- d 1.381, I 20
- d 2.874, I 19
- d 2.822, I 15
- d 1.438, I 12
- d 2.682, I 12
- d 1.882, I 11
- d 1.659, I 11

No. 5
Theoretical X-ray diffraction stick pattern of Mg4Sn for Cu Kα (weighted mean of Kα1 and Kα2), from a structure optimized by DFT (PBE).
Intensities are scaled so that the largest is 100.

Structural model:
a b c (Å): 8.663 8.663 8.663
angles (deg): 147.51 138.24 53.89
Atoms (fractional coordinates):
Mg  0.000  0.000  0.000
Mg  0.201  0.196  0.005
Mg  0.309  0.804  0.505
Mg  0.352  0.602  0.750
Mg  0.500  0.000  0.500
Mg  0.648  0.398  0.250
Mg  0.691  0.196  0.495
Mg  0.799  0.804  0.995
Sn  0.138  0.388  0.750
Sn  0.862  0.612  0.250

Principal peaks in the range 5 to 70 degrees two-theta, in order of falling intensity:
- d 2.568, I 100
- d 2.605, I 98
- d 3.419, I 79
- d 5.734, I 53
- d 2.411, I 51
- d 2.424, I 44
- d 4.625, I 43
- d 3.954, I 39
- d 1.432, I 39
- d 1.709, I 36

No. 6
Theoretical X-ray diffraction stick pattern of MgSn for Cu Kα (weighted mean of Kα1 and Kα2), from a structure optimized by DFT (PBE).
Intensities are scaled so that the largest is 100.

Structural model:
a b c (Å): 7.209 7.065 5.994
angles (deg): 66.43 63.93 49.65
Atoms (fractional coordinates):
Mg  0.062  0.688  0.062
Mg  0.312  0.938  0.312
Mg  0.688  0.062  0.688
Mg  0.938  0.312  0.938
Sn  0.192  0.558  0.558
Sn  0.442  0.808  0.808
Sn  0.558  0.192  0.192
Sn  0.808  0.442  0.442

Principal peaks in the range 5 to 70 degrees two-theta, in order of falling intensity:
- d 3.471, I 100
- d 2.552, I 67
- d 2.992, I 64
- d 2.871, I 63
- d 2.072, I 46
- d 2.160, I 42
- d 5.307, I 40
- d 2.665, I 26
- d 3.345, I 26
- d 1.736, I 24

No. 7
Theoretical X-ray diffraction stick pattern of Mg5Sn3 for Cu Kα (weighted mean of Kα1 and Kα2), from a structure optimized by DFT (PBE).
Intensities are scaled so that the largest is 100.

Structural model:
a b c (Å): 8.523 9.540 4.634
angles (deg): 90.00 90.00 90.00
Atoms (fractional coordinates):
Mg  0.000  0.000  0.000
Mg  0.228  0.500  0.500
Mg  0.250  0.250  0.000
Mg  0.250  0.750  0.000
Mg  0.272  0.000  0.500
Mg  0.500  0.500  0.000
Mg  0.728  0.000  0.500
Mg  0.750  0.250  0.000
Mg  0.750  0.750  0.000
Mg  0.772  0.500  0.500
Sn  0.000  0.217  0.500
Sn  0.000  0.500  0.000
Sn  0.000  0.783  0.500
Sn  0.500  0.000  0.000
Sn  0.500  0.283  0.500
Sn  0.500  0.717  0.500

Principal peaks in the range 5 to 70 degrees two-theta, in order of falling intensity:
- d 2.621, I 100
- d 4.261, I 32
- d 3.324, I 29
- d 3.744, I 22
- d 2.317, I 19
- d 2.979, I 19
- d 2.385, I 15
- d 2.131, I 15
- d 1.389, I 14
- d 1.728, I 12

No. 8
Theoretical X-ray diffraction stick pattern of MgSn for Cu Kα (weighted mean of Kα1 and Kα2), from a structure optimized by DFT (PBE).
Intensities are scaled so that the largest is 100.

Structural model:
a b c (Å): 3.379 3.379 14.676
angles (deg): 90.00 90.00 120.00
Atoms (fractional coordinates):
Mg  0.000  0.000  0.000
Mg  0.333  0.667  0.667
Mg  0.667  0.333  0.333
Sn  0.000  0.000  0.500
Sn  0.333  0.667  0.167
Sn  0.667  0.333  0.833

Principal peaks in the range 5 to 70 degrees two-theta, in order of falling intensity:
- d 2.718, I 100
- d 2.288, I 62
- d 4.892, I 58
- d 2.870, I 49
- d 1.390, I 26
- d 2.446, I 25
- d 1.690, I 25
- d 2.072, I 20
- d 1.554, I 19
- d 1.597, I 18

No. 9
Theoretical X-ray diffraction stick pattern of Mg2Sn3 for Cu Kα (weighted mean of Kα1 and Kα2), from a structure optimized by DFT (PBE).
Intensities are scaled so that the largest is 100.

Structural model:
a b c (Å): 8.486 8.486 4.815
angles (deg): 106.03 106.03 117.86
Atoms (fractional coordinates):
Mg  0.078  0.922  0.750
Mg  0.235  0.765  0.250
Mg  0.765  0.235  0.750
Mg  0.922  0.078  0.250
Sn  0.000  0.500  0.500
Sn  0.211  0.365  0.032
Sn  0.365  0.211  0.532
Sn  0.500  0.000  0.000
Sn  0.635  0.789  0.468
Sn  0.789  0.635  0.968

Principal peaks in the range 5 to 70 degrees two-theta, in order of falling intensity:
- d 3.415, I 100
- d 2.525, I 71
- d 2.494, I 67
- d 3.700, I 51
- d 2.407, I 35
- d 2.423, I 34
- d 1.708, I 24
- d 1.417, I 24
- d 2.027, I 20
- d 2.432, I 12

No. 10
Theoretical X-ray diffraction stick pattern of Mg3Sn2 for Cu Kα (weighted mean of Kα1 and Kα2), from a structure optimized by DFT (PBE).
Intensities are scaled so that the largest is 100.

Structural model:
a b c (Å): 7.424 7.424 7.424
angles (deg): 113.68 84.86 133.48
Atoms (fractional coordinates):
Mg  0.111  0.619  0.730
Mg  0.250  0.250  0.000
Mg  0.389  0.119  0.508
Mg  0.611  0.881  0.492
Mg  0.750  0.750  0.000
Mg  0.889  0.381  0.270
Sn  0.145  0.256  0.402
Sn  0.355  0.756  0.111
Sn  0.645  0.244  0.889
Sn  0.855  0.744  0.598

Principal peaks in the range 5 to 70 degrees two-theta, in order of falling intensity:
- d 3.591, I 100
- d 2.243, I 54
- d 2.376, I 44
- d 4.061, I 38
- d 1.795, I 27
- d 2.932, I 27
- d 2.002, I 21
- d 2.271, I 20
- d 2.740, I 17
- d 1.522, I 16

No. 11
Theoretical X-ray diffraction stick pattern of SrMg4Sn3 for Cu Kα (weighted mean of Kα1 and Kα2), from a structure optimized by DFT (PBE).
Intensities are scaled so that the largest is 100.

Structural model:
a b c (Å): 4.829 4.829 9.511
angles (deg): 90.00 90.00 90.00
Atoms (fractional coordinates):
Sr  0.000  0.000  0.000
Mg  0.000  0.500  0.321
Mg  0.000  0.500  0.679
Mg  0.500  0.000  0.321
Mg  0.500  0.000  0.679
Sn  0.000  0.000  0.500
Sn  0.500  0.500  0.151
Sn  0.500  0.500  0.849

Principal peaks in the range 5 to 70 degrees two-theta, in order of falling intensity:
- d 3.388, I 100
- d 2.414, I 76
- d 3.414, I 74
- d 4.306, I 65
- d 2.323, I 59
- d 2.133, I 56
- d 1.599, I 46
- d 1.966, I 44
- d 2.774, I 28
- d 1.707, I 27

No. 12
Theoretical X-ray diffraction stick pattern of Sr2MgSn8 for Cu Kα (weighted mean of Kα1 and Kα2), from a structure optimized by DFT (PBE).
Intensities are scaled so that the largest is 100.

Structural model:
a b c (Å): 4.980 4.980 12.806
angles (deg): 90.00 90.00 90.00
Atoms (fractional coordinates):
Sr  0.000  0.000  0.188
Sr  0.000  0.000  0.812
Mg  0.000  0.000  0.500
Sn  0.000  0.500  0.000
Sn  0.000  0.500  0.372
Sn  0.000  0.500  0.628
Sn  0.500  0.000  0.000
Sn  0.500  0.000  0.372
Sn  0.500  0.000  0.628
Sn  0.500  0.500  0.188
Sn  0.500  0.500  0.812

Principal peaks in the range 5 to 70 degrees two-theta, in order of falling intensity:
- d 2.717, I 100
- d 2.490, I 52
- d 3.086, I 33
- d 1.478, I 32
- d 1.785, I 24
- d 1.761, I 19
- d 1.457, I 19
- d 2.561, I 17
- d 1.451, I 12
- d 3.396, I 9

No. 13
Theoretical X-ray diffraction stick pattern of SrMgSn3 for Cu Kα (weighted mean of Kα1 and Kα2), from a structure optimized by DFT (PBE).
Intensities are scaled so that the largest is 100.

Structural model:
a b c (Å): 6.660 6.674 6.813
angles (deg): 90.00 90.00 90.00
Atoms (fractional coordinates):
Sr  0.000  0.218  0.000
Sr  0.500  0.782  0.500
Mg  0.000  0.616  0.683
Mg  0.500  0.384  0.183
Sn  0.000  0.913  0.387
Sn  0.249  0.274  0.531
Sn  0.251  0.726  0.031
Sn  0.500  0.087  0.887
Sn  0.749  0.726  0.031
Sn  0.751  0.274  0.531

Principal peaks in the range 5 to 70 degrees two-theta, in order of falling intensity:
- d 2.730, I 100
- d 2.383, I 34
- d 3.407, I 28
- d 4.767, I 21
- d 3.337, I 17
- d 2.150, I 17
- d 1.434, I 16
- d 3.877, I 15
- d 2.997, I 15
- d 1.806, I 13

No. 14
Theoretical X-ray diffraction stick pattern of SrMgSn3 for Cu Kα (weighted mean of Kα1 and Kα2), from a structure optimized by DFT (PBE).
Intensities are scaled so that the largest is 100.

Structural model:
a b c (Å): 7.093 7.093 6.879
angles (deg): 90.05 90.05 60.04
Atoms (fractional coordinates):
Sr  0.167  0.167  0.250
Sr  0.833  0.833  0.750
Mg  0.500  0.500  0.000
Mg  0.500  0.500  0.500
Sn  0.107  0.697  0.250
Sn  0.303  0.303  0.750
Sn  0.303  0.893  0.750
Sn  0.697  0.107  0.250
Sn  0.697  0.697  0.250
Sn  0.893  0.303  0.750

Principal peaks in the range 5 to 70 degrees two-theta, in order of falling intensity:
- d 2.805, I 100
- d 3.439, I 43
- d 1.837, I 30
- d 2.291, I 26
- d 1.963, I 17
- d 3.072, I 17
- d 4.582, I 16
- d 2.322, I 14
- d 1.576, I 13
- d 1.774, I 13